Starting from DFT lattice parameters and positions (GGA-PBE), the PXRD pattern of Y2TmGa3Ni3 was computed for Cu Kα.

a b c (Å): 3.7421 12.0965 7.0159
angles (deg): 90.00 90.00 90.00
Space group Amm2 (No. 38)
One atom of each set of equivalent atoms:
Y 0.0000 0.2060 0.0000
Tm 0.0000 0.0000 0.6169
Ga 0.5000 0.0000 0.9582
Ga 0.5000 0.1223 0.3304
Ni 0.0000 0.0000 0.2095
Ni 0.5000 0.1630 0.7046

Peak list (10 most intense, 2θ from 5° to 70°, sorted by position)
(0 2 0), 2θ 14.62, intensity 16; (1 3 1), 2θ 35.11, intensity 100; (1 4 0), 2θ 38.22, intensity 91; (0 1 3), 2θ 39.24, intensity 21; (0 4 2), 2θ 39.36, intensity 30; (0 3 3), 2θ 44.80, intensity 15; (0 6 0), 2θ 44.96, intensity 10; (1 4 2), 2θ 46.45, intensity 17; (2 0 0), 2θ 48.66, intensity 24; (2 1 3), 2θ 64.25, intensity 18